Record 1
Hf3U5N8: simulated X-ray powder pattern (Cu Kα, 1.54184 Å), based on a crystal structure in Alexandria, relaxed with GGA-PBE.
Lines closer than 0.1° are merged.

Crystal structure
Cell lengths 6.6342, 6.6342, 16.7340 Å; angles 90.00, 90.00, 120.00 degrees
Space group R-3m (No. 166, hexagonal axes)
Inequivalent atoms, fractional coordinates:
Hf 0.0000 0.5000 0.0000 [9 per cell]
U 0.0000 0.0000 0.0000 [3 per cell]
U 0.0000 0.0000 0.5000 [3 per cell]
U 0.0000 0.5000 0.5000 [9 per cell]
N 0.0000 0.0000 0.2573 [6 per cell]
N 0.0118 0.5059 0.2573 [18 per cell]

Main lines, by angle (2θ from 10° to 90°):
hkl  d (Å)  2θ/deg  intensity
0 0 6  2.789  32.09  36
2 0 2  2.717  32.97  100
0 2 4  2.368  38.00  89
2 0 8  1.691  54.25  32
2 2 0  1.659  55.40  30
0 2 10  1.446  64.44  16
2 2 6  1.426  65.48  30
4 0 4  1.359  69.15  16

Record 2
Hf2ZrUN4: simulated X-ray powder pattern (Cu Kα, 1.54184 Å), based on a crystal structure in Alexandria, relaxed with GGA-PBE.
Lines closer than 0.1° are merged.

Crystal structure
Cell lengths 4.651, 4.651, 9.236 Å; angles 90.00, 90.00, 90.00 degrees
Space group I-4m2 (No. 119)
Inequivalent atoms, fractional coordinates:
Hf 0.000 0.000 0.000 [2 per cell]
Hf 0.000 0.500 0.250 [2 per cell]
Zr 0.000 0.500 0.750 [2 per cell]
U 0.000 0.000 0.500 [2 per cell]
N 0.000 0.000 0.248 [4 per cell]
N 0.000 0.500 0.004 [4 per cell]

Main lines, by angle (2θ from 10° to 90°):
hkl  d (Å)  2θ/deg  intensity
1 1 2  2.679  33.45  100
2 0 0  2.326  38.72  46
0 0 4  2.309  39.01  23
2 2 0  1.644  55.91  16
2 0 4  1.639  56.13  31
3 1 2  1.401  66.75  29
1 1 6  1.394  67.14  14
2 2 4  1.339  70.28  16

Record 3
Hf3VN: simulated X-ray powder pattern (Cu Kα, 1.54184 Å), based on a crystal structure in Alexandria, relaxed with GGA-PBE.
Lines closer than 0.1° are merged.

Crystal structure
Cell lengths 6.286, 7.307, 7.443 Å; angles 90.00, 90.00, 90.00 degrees
Space group Immm (No. 71)
Inequivalent atoms, fractional coordinates:
Hf 0.000 0.207 0.000 [4 per cell]
Hf 0.240 0.000 0.297 [8 per cell]
V 0.000 0.316 0.500 [4 per cell]
N 0.240 0.500 0.500 [4 per cell]

Main lines, by angle (2θ from 10° to 90°):
hkl  d (Å)  2θ/deg  intensity
1 0 1  4.803  18.47  27
2 1 1  2.692  33.28  22
0 2 2  2.607  34.40  93
2 0 2  2.401  37.45  87
2 2 0  2.383  37.76  100
0 1 3  2.349  38.31  40
2 3 3  1.521  60.91  34
4 2 2  1.346  69.89  26

Record 4
Y3HfN4: simulated X-ray powder pattern (Cu Kα, 1.54184 Å), based on a crystal structure in Alexandria, relaxed with GGA-PBE.
Lines closer than 0.1° are merged.

Crystal structure
Cell lengths 6.820, 9.600, 3.390 Å; angles 90.00, 90.00, 90.00 degrees
Space group Cmmm (No. 65)
Inequivalent atoms, fractional coordinates:
Y 0.000 0.000 0.000 [2 per cell]
Y 0.250 0.250 0.500 [4 per cell]
Hf 0.000 0.500 0.000 [2 per cell]
N 0.000 0.261 0.000 [4 per cell]
N 0.232 0.500 0.500 [4 per cell]

Main lines, by angle (2θ from 10° to 90°):
hkl  d (Å)  2θ/deg  intensity
1 1 0  5.560  15.94  17
2 2 0  2.780  32.20  62
0 2 1  2.769  32.33  61
2 0 1  2.403  37.43  100
4 0 0  1.705  53.77  11
2 4 1  1.698  53.99  44
4 2 1  1.452  64.15  18
2 6 0  1.447  64.37  36

Record 5
YHf3N4: simulated X-ray powder pattern (Cu Kα, 1.54184 Å), based on a crystal structure in Alexandria, relaxed with GGA-PBE.
Lines closer than 0.1° are merged.

Crystal structure
Cell lengths 3.2566, 3.2566, 21.5093 Å; angles 90.00, 90.00, 120.00 degrees
Space group P6_3/mmc (No. 194)
Inequivalent atoms, fractional coordinates:
Y 0.3333 0.6667 0.2500 [2 per cell]
Hf 0.0000 0.0000 0.0000 [2 per cell]
Hf 0.3333 0.6667 0.6214 [4 per cell]
N 0.0000 0.0000 0.1771 [4 per cell]
N 0.3333 0.6667 0.0602 [4 per cell]

Main lines, by angle (2θ from 10° to 90°):
hkl  d (Å)  2θ/deg  intensity
1 0 2  2.728  32.83  47
0 0 8  2.689  33.32  68
1 0 3  2.625  34.16  100
1 0 4  2.498  35.96  94
1 0 5  2.359  38.16  76
1 0 6  2.217  40.71  58
1 1 0  1.628  56.52  63
1 1 8  1.393  67.22  57

Record 6
Hf3Zn2N: simulated X-ray powder pattern (Cu Kα, 1.54184 Å), based on a crystal structure in Alexandria, relaxed with GGA-PBE.
Lines closer than 0.1° are merged.

Crystal structure
Cell lengths 7.265, 7.265, 7.265 Å; angles 90.00, 90.00, 90.00 degrees
Space group P4_132 (No. 213)
Inequivalent atoms, fractional coordinates:
Hf 0.042 0.125 0.792 [12 per cell]
Zn 0.071 0.929 0.429 [8 per cell]
N 0.125 0.375 0.625 [4 per cell]

Main lines, by angle (2θ from 10° to 90°):
hkl  d (Å)  2θ/deg  intensity
2 1 0  3.249  27.45  16
2 2 1  2.422  37.13  100
3 1 0  2.297  39.22  59
3 1 1  2.190  41.21  19
4 1 1  1.712  53.52  11
4 2 0  1.624  56.66  13
4 3 1  1.425  65.52  21
5 2 0  1.349  69.70  22

Record 7
Hf6ZnN2: simulated X-ray powder pattern (Cu Kα, 1.54184 Å), based on a crystal structure in Alexandria, relaxed with GGA-PBE.
Lines closer than 0.1° are merged.

Crystal structure
Cell lengths 5.9189, 5.9189, 15.6284 Å; angles 90.00, 90.00, 120.00 degrees
Space group R3 (No. 146, hexagonal axes)
Inequivalent atoms, fractional coordinates:
Hf 0.0045 0.3935 0.0000 [9 per cell]
Hf 0.0091 0.6397 0.1725 [9 per cell]
Zn 0.0000 0.0000 0.0712 [3 per cell]
N 0.0000 0.0000 0.4165 [3 per cell]
N 0.0000 0.0000 0.5897 [3 per cell]

Main lines, by angle (2θ from 10° to 90°):
hkl  d (Å)  2θ/deg  intensity
1 1 0  2.959  30.20  16
0 0 6  2.605  34.43  23
1 1 3  2.573  34.87  100
2 -1 6  1.955  46.44  22
3 0 0  1.709  53.64  17
1 1 9  1.498  61.96  19
3 0 6  1.429  65.31  12
4 -2 3  1.423  65.59  11

Record 8
Hf4Zn2N: simulated X-ray powder pattern (Cu Kα, 1.54184 Å), based on a crystal structure in Alexandria, relaxed with GGA-PBE.
Lines closer than 0.1° are merged.

Crystal structure
Cell lengths 7.455, 10.618, 3.217 Å; angles 90.00, 90.00, 90.00 degrees
Space group Pbam (No. 55)
Inequivalent atoms, fractional coordinates:
Hf 0.133 0.190 0.000 [4 per cell]
Hf 0.180 0.934 0.500 [4 per cell]
Zn 0.059 0.634 0.500 [4 per cell]
N 0.000 0.000 0.000 [2 per cell]

Main lines, by angle (2θ from 10° to 90°):
hkl  d (Å)  2θ/deg  intensity
1 1 0  6.102  14.52  45
0 2 1  2.751  32.55  64
1 2 1  2.581  34.76  64
2 3 0  2.567  34.96  52
1 4 0  2.501  35.91  79
3 1 0  2.420  37.16  41
2 1 1  2.374  37.90  100
1 3 1  2.268  39.75  44